The following is a theoretical powder diffraction line list of Th6TcGe2Se3. It was derived from a structure optimized by DFT (PBE), using Cu Ka.

Most intense lines, 2θ from 10° to 90°, by angle:
2θ = 25.31°, rel. 10, hkl 2 0 2
2θ = 25.55°, rel. 9, hkl 4 0 -2
2θ = 25.78°, rel. 20, hkl 3 1 0
2θ = 29.65°, rel. 100, hkl 1 1 -2
2θ = 41.94°, rel. 13, hkl 2 0 -4
2θ = 42.30°, rel. 25, hkl 5 1 2
2θ = 42.61°, rel. 24, hkl 7 1 -2
2θ = 42.84°, rel. 13, hkl 0 2 0
2θ = 50.40°, rel. 8, hkl 2 2 2
2θ = 51.97°, rel. 7, hkl 4 0 4
2θ = 53.00°, rel. 13, hkl 6 2 0
2θ = 61.50°, rel. 8, hkl 2 2 -4

Structural model:
a = 18.5068 Å, b = 4.2219 Å, c = 8.6175 Å
α = 90.00°, β = 102.88°, γ = 90.00°
Space group C2/m (No. 12)
Symmetry-distinct sites (fractional):
Th: 0.0000 0.0000 0.2279 x4
Th: 0.1556 0.5000 0.0846 x4
Th: 0.1690 0.5000 0.5787 x4
Tc: 0.0000 0.5000 0.0000 x2
Ge: 0.1654 0.0000 0.3356 x4
Se: 0.0000 0.5000 0.5000 x2
Se: 0.1724 0.0000 0.8347 x4